# Li3MnCoO5
Theoretical powder XRD pattern, λ = 1.5418 Å (Cu Kα). Input: a crystal structure in the Materials Project, relaxed with GGA+U.
Lines closer than 0.1° are merged.

Cell and atoms:
Cell: 9.8706 2.9129 12.9697 Å, 90.00 102.61 90.00°
Space group Cm (No. 8)
One atom of each set of equivalent atoms:
Li 0.0000 0.0000 0.0000 [2 per cell]
Li 0.0065 0.5000 0.5141 [2 per cell]
Li 0.1097 0.5000 0.2146 [2 per cell]
Li 0.2148 0.0000 0.4320 [2 per cell]
Li 0.3145 0.5000 0.6138 [2 per cell]
Li 0.4134 0.0000 0.8016 [2 per cell]
Mn 0.3091 0.0000 0.1100 [2 per cell]
Mn 0.4071 0.5000 0.3178 [2 per cell]
Co 0.1046 0.0000 0.6918 [2 per cell]
Co 0.2051 0.5000 0.8968 [2 per cell]
O 0.0364 0.5000 0.3506 [2 per cell]
O 0.0679 0.0000 0.8682 [2 per cell]
O 0.1615 0.0000 0.5694 [2 per cell]
O 0.1778 0.5000 0.0701 [2 per cell]
O 0.2556 0.5000 0.7702 [2 per cell]
O 0.2728 0.0000 0.2555 [2 per cell]
O 0.3493 0.0000 0.9748 [2 per cell]
O 0.3562 0.5000 0.4422 [2 per cell]
O 0.4421 0.5000 0.1612 [2 per cell]
O 0.4675 0.0000 0.6637 [2 per cell]

Main lines, in order of falling intensity (10 to 80 degrees two-theta):
| 2θ/deg | I/Imax | hkl |
| --- | --- | --- |
| 18.2 | 100 | 2 0 -1 |
| 43.6 | 59 | 3 1 1 |
| 42.9 | 28 | 2 0 -6 |
| 36.0 | 26 | 1 1 2 |
| 62.6 | 15 | 5 1 -5 |
| 63.0 | 13 | 1 1 7 |
| 47.4 | 12 | 4 0 3 |
| 35.5 | 12 | 0 0 5 |
| 14.0 | 10 | 0 0 2 |
| 57.3 | 9 | 5 1 0 |
| 21.1 | 9 | 2 0 1 |
| 63.9 | 8 | 0 2 0 |



# Li7Mn4CoO12
Theoretical powder XRD pattern, λ = 1.5418 Å (Cu Kα). Input: a crystal structure in the Materials Project, relaxed with GGA+U.
Lines closer than 0.1° are merged.

Cell and atoms:
Cell: 5.1252 8.7222 10.2345 Å, 73.25 81.51 89.95°
Space group P-1 (No. 2)
One atom of each set of equivalent atoms:
Li 0.0000 0.0000 0.0000 [1 per cell]
Li 0.0000 0.0000 0.5000 [1 per cell]
Li 0.2427 0.9208 0.2365 [2 per cell]
Li 0.2441 0.2391 0.7621 [2 per cell]
Li 0.2458 0.9181 0.7551 [2 per cell]
Li 0.2493 0.5860 0.2404 [2 per cell]
Li 0.2521 0.5823 0.7593 [2 per cell]
Li 0.2559 0.2497 0.2422 [2 per cell]
Mn 0.0002 0.3296 0.5000 [2 per cell]
Mn 0.0010 0.3304 0.0006 [2 per cell]
Mn 0.4993 0.8341 0.9999 [2 per cell]
Mn 0.4986 0.8362 0.4998 [2 per cell]
Co 0.5000 0.5000 0.0000 [1 per cell]
Co 0.5000 0.5000 0.5000 [1 per cell]
O 0.1097 0.4633 0.6098 [2 per cell]
O 0.1110 0.4609 0.1143 [2 per cell]
O 0.1437 0.7898 0.1100 [2 per cell]
O 0.1455 0.1351 0.1126 [2 per cell]
O 0.1494 0.1418 0.6117 [2 per cell]
O 0.1488 0.7845 0.6098 [2 per cell]
O 0.3499 0.7152 0.3912 [2 per cell]
O 0.3526 0.3588 0.3899 [2 per cell]
O 0.3903 0.7200 0.8796 [2 per cell]
O 0.3912 0.3610 0.8762 [2 per cell]
O 0.3946 0.0371 0.3900 [2 per cell]
O 0.3969 0.0382 0.8862 [2 per cell]

Main lines, in order of falling intensity (10 to 80 degrees two-theta):
| 2θ/deg | I/Imax | hkl |
| --- | --- | --- |
| 18.3 | 100 | 0 0 2 |
| 42.8 | 30 | 2 0 -2 |
| 43.7 | 28 | 1 3 4 |
| 43.9 | 28 | 1 -3 2 |
| 36.1 | 24 | 1 -3 0 |
| 63.1 | 15 | 3 3 2 |
| 35.5 | 14 | 2 0 0 |
| 10.6 | 10 | 0 1 0 |
| 62.6 | 7 | -1 3 6 |
| 62.8 | 7 | 1 3 -4 |
| 64.1 | 7 | 0 6 2 |
| 63.4 | 7 | 2 0 6 |



# Li3MnCoO5
Theoretical powder XRD pattern, λ = 1.5418 Å (Cu Kα). Input: a crystal structure in the Materials Project, relaxed with GGA+U.
Lines closer than 0.1° are merged.

Cell and atoms:
Cell: 2.9688 7.8019 8.1473 Å, 104.70 90.32 98.32°
Space group P1 (No. 1)
One atom of each set of equivalent atoms:
Li 0.0000 0.0000 0.0000 [1 per cell]
Li 0.0142 0.0099 0.5114 [1 per cell]
Li 0.1972 0.4008 0.0970 [1 per cell]
Li 0.4298 0.8183 0.7241 [1 per cell]
Li 0.6255 0.2109 0.2989 [1 per cell]
Li 0.8346 0.6235 0.9074 [1 per cell]
Mn 0.4322 0.8180 0.2008 [1 per cell]
Mn 0.8261 0.6114 0.4100 [1 per cell]
Co 0.2145 0.4078 0.6131 [1 per cell]
Co 0.6136 0.2016 0.8151 [1 per cell]
O 0.0032 0.9891 0.2513 [1 per cell]
O 0.1852 0.4127 0.3668 [1 per cell]
O 0.2512 0.3979 0.8447 [1 per cell]
O 0.4164 0.8080 0.9735 [1 per cell]
O 0.4571 0.8031 0.4438 [1 per cell]
O 0.6222 0.2178 0.0343 [1 per cell]
O 0.6302 0.2199 0.5794 [1 per cell]
O 0.8052 0.5994 0.6468 [1 per cell]
O 0.8598 0.6363 0.1711 [1 per cell]
O 0.9984 0.0269 0.7614 [1 per cell]

Main lines, in order of falling intensity (10 to 80 degrees two-theta):
| 2θ/deg | I/Imax | hkl |
| --- | --- | --- |
| 18.4 | 100 | 0 1 1 |
| 41.9 | 34 | 1 2 0 |
| 44.0 | 29 | 1 -3 0 |
| 44.5 | 27 | 0 1 -4 |
| 34.9 | 19 | 1 1 -1 |
| 62.8 | 16 | 1 1 4 |
| 36.2 | 12 | 1 -2 1 |
| 11.2 | 12 | 0 0 1 |
| 36.4 | 11 | 0 2 -3 |
| 14.1 | 11 | 0 1 -1 |
| 11.9 | 11 | 0 1 0 |
| 62.7 | 8 | 2 -1 0 |



# Li5Mn2CoO8
Theoretical powder XRD pattern, λ = 1.5418 Å (Cu Kα). Input: a crystal structure in the Materials Project, relaxed with GGA+U.
Lines closer than 0.1° are merged.

Cell and atoms:
Cell: 4.9801 5.1268 5.8515 Å, 72.20 89.26 80.04°
Space group P1 (No. 1)
One atom of each set of equivalent atoms:
Li 0.0000 0.0000 0.0000 [1 per cell]
Li 0.0013 0.9950 0.5061 [1 per cell]
Li 0.5138 0.9929 0.2637 [1 per cell]
Li 0.5171 0.0050 0.7401 [1 per cell]
Li 0.7590 0.5018 0.6251 [1 per cell]
Mn 0.2587 0.5019 0.8696 [1 per cell]
Mn 0.7596 0.4960 0.1275 [1 per cell]
Co 0.2661 0.5023 0.3844 [1 per cell]
O 0.1148 0.2677 0.1679 [1 per cell]
O 0.1584 0.2808 0.6894 [1 per cell]
O 0.3674 0.7428 0.5827 [1 per cell]
O 0.3912 0.7149 0.0735 [1 per cell]
O 0.6182 0.2786 0.9494 [1 per cell]
O 0.6213 0.2707 0.4202 [1 per cell]
O 0.8958 0.7123 0.3041 [1 per cell]
O 0.8959 0.7276 0.8341 [1 per cell]

Main lines, in order of falling intensity (10 to 80 degrees two-theta):
| 2θ/deg | I/Imax | hkl |
| --- | --- | --- |
| 18.5 | 100 | 0 1 0 |
| 43.2 | 33 | 1 2 2 |
| 44.3 | 30 | 1 1 -2 |
| 44.4 | 30 | 2 -1 0 |
| 35.8 | 15 | 1 1 2 |
| 36.7 | 12 | 2 0 0 |
| 18.1 | 12 | 1 0 0 |
| 36.4 | 12 | 1 0 -2 |
| 15.9 | 11 | 0 0 1 |
| 58.4 | 9 | 1 2 -2 |
| 64.0 | 8 | 1 -2 2 |
| 65.0 | 8 | 3 0 -2 |



# Li3MnCoO5
Theoretical powder XRD pattern, λ = 1.5418 Å (Cu Kα). Input: a crystal structure in the Materials Project, relaxed with GGA+U.
Lines closer than 0.1° are merged.

Cell and atoms:
Cell: 2.9814 5.0667 12.0985 Å, 96.31 94.78 91.03°
Space group P1 (No. 1)
One atom of each set of equivalent atoms:
Li 0.0000 0.0000 0.0000 [1 per cell]
Li 0.0845 0.7192 0.1923 [1 per cell]
Li 0.2953 0.1131 0.6005 [1 per cell]
Li 0.4819 0.5305 0.9968 [1 per cell]
Li 0.6949 0.9086 0.4014 [1 per cell]
Li 0.8973 0.3123 0.7985 [1 per cell]
Mn 0.1862 0.4193 0.3990 [1 per cell]
Mn 0.5821 0.2060 0.1911 [1 per cell]
Co 0.4000 0.8183 0.8071 [1 per cell]
Co 0.7999 0.6220 0.6029 [1 per cell]
O 0.0620 0.3424 0.1099 [1 per cell]
O 0.1146 0.0934 0.2900 [1 per cell]
O 0.2429 0.7517 0.4979 [1 per cell]
O 0.3387 0.4977 0.7019 [1 per cell]
O 0.4330 0.1276 0.8851 [1 per cell]
O 0.5518 0.8839 0.1062 [1 per cell]
O 0.6022 0.5421 0.2994 [1 per cell]
O 0.7729 0.2853 0.5011 [1 per cell]
O 0.8128 0.9443 0.6992 [1 per cell]
O 0.9641 0.6694 0.8899 [1 per cell]

Main lines, in order of falling intensity (10 to 80 degrees two-theta):
| 2θ/deg | I/Imax | hkl |
| --- | --- | --- |
| 18.3 | 100 | 0 1 -1 |
| 41.9 | 34 | 1 -1 3 |
| 43.8 | 30 | 1 1 -4 |
| 44.7 | 27 | 0 2 3 |
| 34.9 | 17 | 1 0 2 |
| 62.9 | 16 | 1 -3 0 |
| 36.1 | 13 | 1 0 -3 |
| 36.6 | 11 | 0 1 4 |
| 14.8 | 10 | 0 0 2 |
| 62.3 | 9 | 2 0 -1 |
| 62.1 | 8 | 0 2 -7 |
| 63.9 | 8 | 1 3 -1 |



# Li4MnCo2O7
Theoretical powder XRD pattern, λ = 1.5418 Å (Cu Kα). Input: a crystal structure in the Materials Project, relaxed with GGA+U.
Lines closer than 0.1° are merged.

Cell and atoms:
Cell: 19.6745 2.8932 9.8138 Å, 90.00 114.06 90.00°
Space group C2/m (No. 12)
One atom of each set of equivalent atoms:
Li 0.0000 0.0000 0.0000 [2 per cell]
Li 0.0000 0.5000 0.5000 [2 per cell]
Li 0.0721 0.0000 0.7943 [4 per cell]
Li 0.1319 0.5000 0.0586 [4 per cell]
Li 0.2115 0.0000 0.3472 [4 per cell]
Mn 0.1428 0.0000 0.5675 [4 per cell]
Co 0.0626 0.5000 0.2616 [4 per cell]
Co 0.2156 0.5000 0.8614 [4 per cell]
O 0.0307 0.5000 0.8785 [4 per cell]
O 0.0477 0.0000 0.4008 [4 per cell]
O 0.1064 0.0000 0.1878 [4 per cell]
O 0.1121 0.5000 0.6669 [4 per cell]
O 0.1757 0.5000 0.4783 [4 per cell]
O 0.1826 0.0000 0.9652 [4 per cell]
O 0.2394 0.0000 0.7405 [4 per cell]

Main lines, in order of falling intensity (10 to 80 degrees two-theta):
| 2θ/deg | I/Imax | hkl |
| --- | --- | --- |
| 18.1 | 100 | 4 0 -1 |
| 43.7 | 53 | 5 1 -3 |
| 42.6 | 26 | 6 0 2 |
| 36.2 | 25 | 1 1 -2 |
| 62.4 | 14 | 11 1 -1 |
| 63.0 | 13 | 1 1 5 |
| 35.3 | 12 | 2 0 3 |
| 57.3 | 9 | 9 1 -4 |
| 47.4 | 8 | 7 1 0 |
| 62.6 | 7 | 10 0 -6 |
| 64.4 | 7 | 0 2 0 |
| 37.6 | 6 | 3 1 1 |



# Li7Mn2Co3O12
Theoretical powder XRD pattern, λ = 1.5418 Å (Cu Kα). Input: a crystal structure in the Materials Project, relaxed with GGA+U.
Lines closer than 0.1° are merged.

Cell and atoms:
Cell: 2.9246 9.7846 15.2162 Å, 78.67 89.00 86.90°
Space group P1 (No. 1)
One atom of each set of equivalent atoms:
Li 0.0000 0.0000 0.0000 [1 per cell]
Li 0.0005 0.0097 0.6572 [1 per cell]
Li 0.0006 0.5051 0.4977 [1 per cell]
Li 0.4732 0.2422 0.5827 [1 per cell]
Li 0.4787 0.7422 0.0827 [1 per cell]
Li 0.4942 0.0024 0.4989 [1 per cell]
Li 0.4978 0.2507 0.2498 [1 per cell]
Li 0.4980 0.5003 0.0004 [1 per cell]
Li 0.4990 0.7508 0.7487 [1 per cell]
Li 0.5123 0.7600 0.4158 [1 per cell]
Li 0.5193 0.2576 0.9175 [1 per cell]
Li 0.9939 0.4881 0.8449 [1 per cell]
Li 0.9967 0.9924 0.3408 [1 per cell]
Li 0.9976 0.5101 0.1575 [1 per cell]
Mn 0.0053 0.7588 0.5766 [1 per cell]
Mn 0.0159 0.2561 0.0808 [1 per cell]
Mn 0.9796 0.2459 0.4191 [1 per cell]
Mn 0.9817 0.7436 0.9191 [1 per cell]
Co 0.0072 0.2487 0.7518 [1 per cell]
Co 0.4777 0.5003 0.3296 [1 per cell]
Co 0.4818 0.9980 0.8307 [1 per cell]
Co 0.5146 0.5002 0.6704 [1 per cell]
Co 0.5183 0.0013 0.1691 [1 per cell]
Co 0.9977 0.7508 0.2489 [1 per cell]
O 0.0034 0.3798 0.6349 [1 per cell]
O 0.0045 0.3611 0.9676 [1 per cell]
O 0.0175 0.6222 0.3640 [1 per cell]
O 0.0216 0.1187 0.8664 [1 per cell]
O 0.0247 0.6250 0.6991 [1 per cell]
O 0.0474 0.1239 0.2009 [1 per cell]
O 0.4622 0.3700 0.4479 [1 per cell]
O 0.4640 0.6273 0.2136 [1 per cell]
O 0.4645 0.8675 0.9482 [1 per cell]
O 0.4708 0.1267 0.7152 [1 per cell]
O 0.4846 0.8602 0.6185 [1 per cell]
O 0.4947 0.3592 0.1206 [1 per cell]
O 0.5004 0.1430 0.3792 [1 per cell]
O 0.5019 0.6405 0.8792 [1 per cell]
O 0.5236 0.6371 0.5459 [1 per cell]
O 0.5313 0.8741 0.2843 [1 per cell]
O 0.5333 0.1320 0.0516 [1 per cell]
O 0.5425 0.3689 0.7892 [1 per cell]
O 0.9491 0.3773 0.2987 [1 per cell]
O 0.9523 0.8757 0.7988 [1 per cell]
O 0.9772 0.8796 0.1336 [1 per cell]
O 0.9899 0.1406 0.5328 [1 per cell]
O 0.9927 0.6389 0.0327 [1 per cell]
O 0.9975 0.8658 0.4645 [1 per cell]

Main lines, in order of falling intensity (10 to 80 degrees two-theta):
| 2θ/deg | I/Imax | hkl |
| --- | --- | --- |
| 18.4 | 100 | 0 1 3 |
| 42.3 | 30 | 1 3 3 |
| 44.2 | 26 | 0 2 -6 |
| 44.7 | 25 | -1 3 3 |
| 11.9 | 17 | 0 0 2 |
| 35.2 | 15 | 1 2 0 |
| 36.3 | 12 | 0 3 -3 |
| 36.9 | 11 | 1 -2 0 |
| 65.2 | 9 | 1 -5 3 |
| 62.6 | 8 | 1 5 -3 |
| 62.7 | 7 | 0 6 6 |
| 63.7 | 7 | 2 0 0 |



# Li3MnCoO5
Theoretical powder XRD pattern, λ = 1.5418 Å (Cu Kα). Input: a crystal structure in the Materials Project, relaxed with GGA+U.
Lines closer than 0.1° are merged.

Cell and atoms:
Cell: 4.9815 5.9371 6.6207 Å, 103.22 96.90 106.57°
Space group P-1 (No. 2)
One atom of each set of equivalent atoms:
Li 0.0000 0.0000 0.0000 [1 per cell]
Li 0.0000 0.5000 0.0000 [1 per cell]
Li 0.2017 0.4014 0.3922 [2 per cell]
Li 0.3934 0.7968 0.8040 [2 per cell]
Mn 0.1992 0.8984 0.3972 [2 per cell]
Co 0.4052 0.3121 0.8134 [2 per cell]
O 0.0864 0.9566 0.6798 [2 per cell]
O 0.0927 0.4139 0.6913 [2 per cell]
O 0.3116 0.8514 0.1288 [2 per cell]
O 0.3226 0.3548 0.0986 [2 per cell]
O 0.4944 0.7759 0.4973 [2 per cell]

Main lines, in order of falling intensity (10 to 80 degrees two-theta):
| 2θ/deg | I/Imax | hkl |
| --- | --- | --- |
| 18.3 | 100 | 0 1 -1 |
| 43.4 | 30 | 1 2 0 |
| 43.5 | 29 | 1 0 -3 |
| 43.9 | 29 | 2 -2 1 |
| 35.8 | 26 | -1 1 2 |
| 62.6 | 16 | 1 -4 1 |
| 64.3 | 15 | 3 0 1 |
| 36.6 | 13 | 2 -1 0 |
| 62.7 | 8 | 1 -2 4 |
| 47.3 | 8 | 1 -1 3 |
| 63.5 | 8 | 2 2 -3 |
| 19.0 | 7 | 1 0 0 |



# Li4MnCo2O7
Theoretical powder XRD pattern, λ = 1.5418 Å (Cu Kα). Input: a crystal structure in the Materials Project, relaxed with GGA+U.
Lines closer than 0.1° are merged.

Cell and atoms:
Cell: 3.0234 5.0428 16.6779 Å, 90.07 91.48 91.73°
Space group P1 (No. 1)
One atom of each set of equivalent atoms:
Li 0.0000 0.0000 0.0000 [1 per cell]
Li 0.0661 0.6448 0.1419 [1 per cell]
Li 0.1317 0.2910 0.2850 [1 per cell]
Li 0.2799 0.5733 0.5711 [1 per cell]
Li 0.4261 0.8566 0.8580 [1 per cell]
Li 0.5656 0.1451 0.1423 [1 per cell]
Li 0.7056 0.4325 0.4276 [1 per cell]
Li 0.8528 0.7147 0.7146 [1 per cell]
Mn 0.2115 0.9282 0.4262 [1 per cell]
Mn 0.3457 0.2157 0.7164 [1 per cell]
Co 0.5015 0.5046 0.0052 [1 per cell]
Co 0.6261 0.7844 0.2781 [1 per cell]
Co 0.7800 0.0733 0.5710 [1 per cell]
Co 0.9243 0.3636 0.8592 [1 per cell]
O 0.0578 0.3335 0.0654 [1 per cell]
O 0.0767 0.9543 0.2190 [1 per cell]
O 0.1967 0.6273 0.3550 [1 per cell]
O 0.2604 0.2320 0.4987 [1 per cell]
O 0.2992 0.9145 0.6433 [1 per cell]
O 0.3540 0.5212 0.7879 [1 per cell]
O 0.4901 0.2165 0.9298 [1 per cell]
O 0.5242 0.7926 0.0620 [1 per cell]
O 0.6086 0.4967 0.2215 [1 per cell]
O 0.6485 0.0777 0.3531 [1 per cell]
O 0.7780 0.3760 0.6420 [1 per cell]
O 0.7799 0.7692 0.5010 [1 per cell]
O 0.9124 0.0595 0.7897 [1 per cell]
O 0.9393 0.6549 0.9297 [1 per cell]

Main lines, in order of falling intensity (10 to 80 degrees two-theta):
| 2θ/deg | I/Imax | hkl |
| --- | --- | --- |
| 18.4 | 100 | 0 1 -1 |
| 41.0 | 35 | 1 -1 4 |
| 44.1 | 27 | 1 1 -5 |
| 45.1 | 24 | 0 2 5 |
| 34.1 | 20 | 1 0 3 |
| 62.6 | 15 | -1 3 1 |
| 37.0 | 15 | 0 1 6 |
| 36.3 | 12 | 1 0 -4 |
| 65.7 | 10 | -1 1 10 |
| 61.5 | 8 | 2 0 -1 |
| 62.1 | 8 | 0 2 -9 |
| 10.6 | 7 | 0 0 2 |